# 1
For Ta3Tc, a crystal structure in Alexandria, relaxed with GGA-PBE gives the calculated PXRD pattern in this record (λ = 1.5418 Å (Cu Kα)).
Peak positions follow from Bragg's law for the DFT cell and can differ from measured ones.

Structural model:
Unit cell a=3.2170 b=3.2170 c=6.6307 alpha=90.00 beta=90.00 gamma=90.00
Fractional coordinates of all 4 atoms:
Ta 0.0000 0.0000 0.0000
Ta 0.5000 0.5000 0.2611
Ta 0.5000 0.5000 0.7389
Tc 0.0000 0.0000 0.5000

Most intense lines, 10° ≤ 2θ ≤ 90°, by angle:
d 2.309, intensity 100; d 2.275, intensity 48; d 1.658, intensity 9; d 1.609, intensity 17; d 1.340, intensity 17; d 1.320, intensity 34; d 1.154, intensity 11; d 1.137, intensity 5


# 2
For Sm4MgTe5, a crystal structure in Alexandria, relaxed with GGA-PBE gives the calculated PXRD pattern in this record (λ = 1.5418 Å (Cu Kα)).
Peak positions follow from Bragg's law for the DFT cell and can differ from measured ones.

Structural model:
Unit cell a=7.6441 b=7.6441 c=7.6441 alpha=99.56 beta=99.56 gamma=131.89
Fractional coordinates of all 10 atoms:
Sm 0.0917 0.6898 0.7814
Sm 0.3102 0.0917 0.4019
Sm 0.6898 0.9083 0.5981
Sm 0.9083 0.3102 0.2186
Mg 0.4839 0.4839 0.0000
Te 0.2197 0.4009 0.6198
Te 0.4009 0.7810 0.1812
Te 0.5999 0.2197 0.8188
Te 0.7810 0.5999 0.3802
Te 0.9934 0.9934 0.0000

Most intense lines, 10° ≤ 2θ ≤ 90°, by angle:
d 3.120, intensity 100; d 2.507, intensity 5; d 2.206, intensity 74; d 1.801, intensity 25; d 1.561, intensity 7; d 1.396, intensity 19; d 1.394, intensity 11; d 1.274, intensity 22


# 3
For Na3Tl4Cd, a crystal structure in Alexandria, relaxed with GGA-PBE gives the calculated PXRD pattern in this record (λ = 1.5418 Å (Cu Kα)).
Peak positions follow from Bragg's law for the DFT cell and can differ from measured ones.

Structural model:
Unit cell a=10.5379 b=7.9733 c=5.2679 alpha=90.00 beta=90.00 gamma=90.00
Fractional coordinates of all 16 atoms:
Na 0.0000 0.0000 0.0000
Na 0.2500 0.0000 0.4991
Na 0.2500 0.5000 0.4988
Na 0.5000 0.0000 0.0000
Na 0.7500 0.0000 0.5009
Na 0.7500 0.5000 0.5012
Tl 0.0000 0.2591 0.5000
Tl 0.0000 0.7409 0.5000
Tl 0.2500 0.2592 0.9990
Tl 0.2500 0.7408 0.9990
Tl 0.5000 0.2591 0.5000
Tl 0.5000 0.7409 0.5000
Tl 0.7500 0.2592 0.0010
Tl 0.7500 0.7408 0.0010
Cd 0.0000 0.5000 0.0000
Cd 0.5000 0.5000 0.0000

Most intense lines, 10° ≤ 2θ ≤ 90°, by angle:
d 3.987, intensity 25; d 3.725, intensity 43; d 2.722, intensity 100; d 2.634, intensity 46; d 2.198, intensity 21; d 1.863, intensity 17; d 1.590, intensity 19; d 1.537, intensity 36


# 4
For Ba4Te2IO2, a crystal structure in Alexandria, relaxed with GGA-PBE gives the calculated PXRD pattern in this record (λ = 1.5418 Å (Cu Kα)).
Peak positions follow from Bragg's law for the DFT cell and can differ from measured ones.

Structural model:
Unit cell a=9.5512 b=9.5512 c=9.9280 alpha=119.19 beta=119.19 gamma=27.92
Fractional coordinates of all 9 atoms:
Ba 0.0293 0.0293 0.3094
Ba 0.2694 0.2694 0.6719
Ba 0.7306 0.7306 0.3281
Ba 0.9707 0.9707 0.6906
Te 0.3975 0.3975 0.3631
Te 0.6025 0.6025 0.6369
I 0.5000 0.5000 0.0000
O 0.1764 0.1764 0.3775
O 0.8236 0.8236 0.6225

Most intense lines, 10° ≤ 2θ ≤ 90°, by angle:
d 8.583, intensity 48; d 3.286, intensity 100; d 3.017, intensity 32; d 2.916, intensity 61; d 2.863, intensity 42; d 2.344, intensity 19; d 2.304, intensity 21; d 1.795, intensity 17


# 5
For CeThCS, a crystal structure in Alexandria, relaxed with GGA-PBE gives the calculated PXRD pattern in this record (λ = 1.5418 Å (Cu Kα)).
Peak positions follow from Bragg's law for the DFT cell and can differ from measured ones.

Structural model:
Unit cell a=3.7739 b=3.7739 c=20.6346 alpha=90.00 beta=90.00 gamma=120.00
Fractional coordinates of all 12 atoms:
Ce 0.0000 0.0000 0.0000
Ce 0.3333 0.6667 0.6667
Ce 0.6667 0.3333 0.3333
Th 0.0000 0.0000 0.8053
Th 0.3333 0.6667 0.4719
Th 0.6667 0.3333 0.1386
C 0.0000 0.0000 0.4040
C 0.3333 0.6667 0.0706
C 0.6667 0.3333 0.7373
S 0.0000 0.0000 0.2357
S 0.3333 0.6667 0.9024
S 0.6667 0.3333 0.5691

Most intense lines, 10° ≤ 2θ ≤ 90°, by angle:
d 3.439, intensity 34; d 3.228, intensity 87; d 3.116, intensity 28; d 2.761, intensity 65; d 2.562, intensity 100; d 1.887, intensity 44; d 1.654, intensity 28; d 1.628, intensity 29